# NpBe2Ag2O6
Simulated X-ray diffraction stick pattern, Cu Kα (weighted mean of Kα1 and Kα2). Input: a DFT-relaxed cell (PBE, Alexandria).

The 10 most intense peaks (2θ from 15° to 90°), in order of falling intensity:
| 2θ (°) | I (rel.) | index |
| --- | --- | --- |
| 24.44 | 100.0 | 0 1 1 |
| 36.54 | 44.0 | 1 0 2 |
| 33.07 | 43.6 | 1 1 0 |
| 41.55 | 30.8 | 2 0 1 |
| 54.10 | 25.1 | 3 -2 1 |
| 61.36 | 20.3 | 3 -1 2 |
| 58.85 | 19.7 | 1 1 3 |
| 50.10 | 18.5 | 0 2 2 |
| 15.34 | 13.9 | 0 0 1 |
| 18.92 | 12.0 | 1 0 0 |

Atomic structure:
Cell: 5.4175 5.4175 5.7751 Å, 90.00 90.00 120.00°
Fractional coordinates of all 11 atoms:
Np 0.0000 0.0000 0.0000
Be 0.3333 0.6667 0.8012
Be 0.6667 0.3333 0.1988
Ag 0.3333 0.6667 0.3208
Ag 0.6667 0.3333 0.6792
O 0.0870 0.7348 0.7935
O 0.2652 0.3521 0.7935
O 0.3521 0.0870 0.2065
O 0.6479 0.9130 0.7935
O 0.7348 0.6479 0.2065
O 0.9130 0.2652 0.2065